(1)
LaNi5H7: theoretical powder diffractogram (Cu Kα), based on a DFT-relaxed cell (GGA-PBE, the Materials Project).
Peak positions follow from Bragg's law for the DFT cell and can differ from measured ones.

Cell lengths 5.383, 5.383, 8.616 Å; angles 90.00, 90.00, 119.84 degrees
Element x y z (fractional)
La  0.000  0.000  0.000
La  0.000  0.000  0.500
Ni  0.003  0.507  0.222
Ni  0.333  0.667  0.477
Ni  0.333  0.667  0.954
Ni  0.493  0.496  0.222
Ni  0.496  0.493  0.722
Ni  0.504  0.997  0.222
Ni  0.507  0.003  0.722
Ni  0.667  0.333  0.454
Ni  0.667  0.333  0.977
Ni  0.997  0.504  0.722
H  0.010  0.514  0.030
H  0.157  0.325  0.759
H  0.168  0.842  0.759
H  0.325  0.157  0.259
H  0.333  0.667  0.289
H  0.486  0.495  0.030
H  0.495  0.486  0.530
H  0.504  0.990  0.030
H  0.514  0.010  0.530
H  0.667  0.333  0.789
H  0.674  0.831  0.759
H  0.831  0.674  0.259
H  0.842  0.168  0.259
H  0.990  0.504  0.530

Top 12 peaks for 2θ = 10–90°, low angle first:
| 2θ (°) | intensity |
| --- | --- |
| 28.19 | 44 |
| 33.26 | 31 |
| 38.59 | 37 |
| 39.45 | 100 |
| 41.94 | 25 |
| 44.15 | 13 |
| 54.55 | 11 |
| 58.30 | 19 |
| 63.56 | 15 |
| 69.89 | 12 |
| 74.94 | 9 |
| 84.97 | 11 |


(2)
LiMg4H13Os2: theoretical powder diffractogram (Cu Kα), based on a DFT-relaxed cell (GGA-PBE, the Materials Project).
Peak positions follow from Bragg's law for the DFT cell and can differ from measured ones.

Cell lengths 4.727, 4.727, 18.485 Å; angles 90.00, 90.00, 120.00 degrees
Element x y z (fractional)
Li  0.333  0.667  0.250
Li  0.667  0.333  0.750
Mg  0.000  0.000  0.149
Mg  0.000  0.000  0.351
Mg  0.000  0.000  0.649
Mg  0.000  0.000  0.851
Mg  0.333  0.667  0.552
Mg  0.333  0.667  0.948
Mg  0.667  0.333  0.052
Mg  0.667  0.333  0.448
H  0.000  0.000  0.250
H  0.000  0.000  0.750
H  0.004  0.502  0.160
H  0.004  0.502  0.340
H  0.164  0.327  0.051
H  0.164  0.327  0.449
H  0.164  0.836  0.051
H  0.164  0.836  0.449
H  0.327  0.164  0.551
H  0.327  0.164  0.949
H  0.498  0.502  0.160
H  0.498  0.502  0.340
H  0.498  0.996  0.160
H  0.498  0.996  0.340
H  0.502  0.004  0.660
H  0.502  0.004  0.840
H  0.502  0.498  0.660
H  0.502  0.498  0.840
H  0.673  0.836  0.051
H  0.673  0.836  0.449
H  0.836  0.164  0.551
H  0.836  0.164  0.949
H  0.836  0.673  0.551
H  0.836  0.673  0.949
H  0.996  0.498  0.660
H  0.996  0.498  0.840
Os  0.333  0.667  0.104
Os  0.333  0.667  0.396
Os  0.667  0.333  0.604
Os  0.667  0.333  0.896

Top 12 peaks for 2θ = 10–90°, low angle first:
| 2θ (°) | intensity |
| --- | --- |
| 19.21 | 65 |
| 21.71 | 31 |
| 22.24 | 79 |
| 26.13 | 100 |
| 36.50 | 20 |
| 38.07 | 64 |
| 40.66 | 60 |
| 42.98 | 48 |
| 46.76 | 20 |
| 56.91 | 23 |
| 61.82 | 19 |
| 70.54 | 24 |


(3)
Cs2MnCl6: theoretical powder diffractogram (Cu Kα), based on a DFT-relaxed cell (GGA-PBE, the Materials Project).
Peak positions follow from Bragg's law for the DFT cell and can differ from measured ones.

Cell lengths 7.390, 7.390, 7.390 Å; angles 60.00, 60.00, 60.00 degrees
Element x y z (fractional)
Cs  0.250  0.250  0.250
Cs  0.750  0.750  0.750
Mn  0.000  0.000  0.000
Cl  0.220  0.220  0.780
Cl  0.220  0.780  0.220
Cl  0.220  0.780  0.780
Cl  0.780  0.220  0.220
Cl  0.780  0.220  0.780
Cl  0.780  0.780  0.220

Top 12 peaks for 2θ = 10–90°, low angle first:
| 2θ (°) | intensity |
| --- | --- |
| 14.68 | 34 |
| 16.97 | 24 |
| 24.08 | 97 |
| 29.61 | 100 |
| 34.32 | 79 |
| 38.52 | 19 |
| 42.37 | 38 |
| 49.32 | 49 |
| 55.62 | 25 |
| 58.59 | 32 |
| 67.01 | 25 |
| 82.56 | 18 |


(4)
Al9SiC7N: theoretical powder diffractogram (Cu Kα), based on a DFT-relaxed cell (GGA-PBE, the Materials Project).
Peak positions follow from Bragg's law for the DFT cell and can differ from measured ones.

Cell lengths 3.325, 3.325, 21.805 Å; angles 90.00, 90.00, 120.00 degrees
Element x y z (fractional)
Al  0.000  0.000  0.000
Al  0.000  0.000  0.189
Al  0.000  0.000  0.409
Al  0.333  0.667  0.715
Al  0.333  0.667  0.907
Al  0.667  0.333  0.105
Al  0.667  0.333  0.294
Al  0.667  0.333  0.610
Al  0.667  0.333  0.800
Si  0.333  0.667  0.500
C  0.000  0.000  0.089
C  0.333  0.667  0.580
C  0.333  0.667  0.819
C  0.667  0.333  0.206
C  0.667  0.333  0.454
C  0.667  0.333  0.702
C  0.667  0.333  0.954
N  0.000  0.000  0.325

Top 12 peaks for 2θ = 10–90°, low angle first:
| 2θ (°) | intensity |
| --- | --- |
| 31.34 | 97 |
| 32.15 | 28 |
| 33.48 | 21 |
| 35.25 | 27 |
| 37.43 | 64 |
| 39.95 | 74 |
| 41.41 | 45 |
| 49.15 | 31 |
| 55.26 | 100 |
| 60.22 | 33 |
| 70.34 | 14 |
| 71.35 | 52 |


(5)
Ta3Zn2Bi3O14: theoretical powder diffractogram (Cu Kα), based on a DFT-relaxed cell (GGA-PBE, the Materials Project).
Peak positions follow from Bragg's law for the DFT cell and can differ from measured ones.

Cell lengths 7.316, 7.316, 7.316 Å; angles 62.23, 62.23, 62.23 degrees
Element x y z (fractional)
Ta  0.000  0.500  0.500
Ta  0.500  0.000  0.500
Ta  0.500  0.500  0.000
Zn  0.000  0.000  0.000
Zn  0.500  0.500  0.500
Bi  0.000  0.000  0.500
Bi  0.000  0.500  0.000
Bi  0.500  0.000  0.000
O  0.107  0.107  0.107
O  0.149  0.594  0.594
O  0.189  0.189  0.571
O  0.189  0.571  0.189
O  0.406  0.406  0.851
O  0.406  0.851  0.406
O  0.429  0.811  0.811
O  0.571  0.189  0.189
O  0.594  0.149  0.594
O  0.594  0.594  0.149
O  0.811  0.429  0.811
O  0.811  0.811  0.429
O  0.851  0.406  0.406
O  0.893  0.893  0.893

Top 12 peaks for 2θ = 10–90°, low angle first:
| 2θ (°) | intensity |
| --- | --- |
| 16.87 | 13 |
| 29.10 | 100 |
| 30.45 | 31 |
| 34.12 | 49 |
| 48.13 | 31 |
| 49.92 | 27 |
| 57.23 | 16 |
| 58.03 | 29 |
| 59.61 | 14 |
| 60.32 | 12 |
| 77.96 | 13 |
| 80.64 | 11 |


(6)
Bi2Pd3S2: theoretical powder diffractogram (Cu Kα), based on a DFT-relaxed cell (GGA-PBE, the Materials Project).
Peak positions follow from Bragg's law for the DFT cell and can differ from measured ones.

Cell lengths 7.323, 7.323, 7.323 Å; angles 109.47, 109.47, 109.47 degrees
Element x y z (fractional)
Bi  0.000  0.007  0.500
Bi  0.007  0.500  0.000
Bi  0.493  0.493  0.493
Bi  0.500  0.000  0.007
Pd  0.221  0.971  0.250
Pd  0.250  0.221  0.971
Pd  0.279  0.529  0.750
Pd  0.529  0.750  0.279
Pd  0.750  0.279  0.529
Pd  0.971  0.250  0.221
S  0.000  0.554  0.500
S  0.500  0.000  0.554
S  0.554  0.500  0.000
S  0.946  0.946  0.946

Top 12 peaks for 2θ = 10–90°, low angle first:
| 2θ (°) | intensity |
| --- | --- |
| 14.82 | 23 |
| 21.01 | 40 |
| 25.81 | 22 |
| 29.89 | 78 |
| 33.51 | 19 |
| 36.82 | 100 |
| 42.78 | 65 |
| 48.13 | 24 |
| 53.06 | 35 |
| 62.10 | 39 |
| 74.43 | 36 |
| 86.04 | 17 |


(7)
ThCd5: theoretical powder diffractogram (Cu Kα), based on a DFT-relaxed cell (GGA-PBE, the Materials Project).
Peak positions follow from Bragg's law for the DFT cell and can differ from measured ones.

Cell lengths 10.012, 10.012, 10.125 Å; angles 90.00, 90.00, 120.00 degrees
Element x y z (fractional)
Th  0.192  0.384  0.250
Th  0.192  0.808  0.250
Th  0.384  0.192  0.750
Th  0.616  0.808  0.250
Th  0.808  0.192  0.750
Th  0.808  0.616  0.750
Cd  0.000  0.000  0.000
Cd  0.000  0.000  0.500
Cd  0.000  0.500  0.000
Cd  0.000  0.500  0.500
Cd  0.133  0.566  0.750
Cd  0.156  0.313  0.596
Cd  0.156  0.313  0.904
Cd  0.156  0.844  0.596
Cd  0.156  0.844  0.904
Cd  0.313  0.156  0.096
Cd  0.313  0.156  0.404
Cd  0.333  0.667  0.031
Cd  0.333  0.667  0.469
Cd  0.434  0.566  0.750
Cd  0.434  0.867  0.750
Cd  0.500  0.000  0.000
Cd  0.500  0.000  0.500
Cd  0.500  0.500  0.000
Cd  0.500  0.500  0.500
Cd  0.566  0.133  0.250
Cd  0.566  0.434  0.250
Cd  0.667  0.333  0.531
Cd  0.667  0.333  0.969
Cd  0.687  0.844  0.596
Cd  0.687  0.844  0.904
Cd  0.844  0.156  0.096
Cd  0.844  0.156  0.404
Cd  0.844  0.687  0.096
Cd  0.844  0.687  0.404
Cd  0.867  0.434  0.250

Top 12 peaks for 2θ = 10–90°, low angle first:
| 2θ (°) | intensity |
| --- | --- |
| 27.08 | 17 |
| 32.21 | 43 |
| 32.55 | 18 |
| 33.65 | 100 |
| 35.46 | 12 |
| 35.77 | 17 |
| 35.88 | 82 |
| 38.28 | 11 |
| 50.01 | 13 |
| 56.06 | 11 |
| 59.06 | 12 |
| 63.06 | 19 |


(8)
HfMg14BiO16: theoretical powder diffractogram (Cu Kα), based on a DFT-relaxed cell (GGA-PBE, the Materials Project).
Peak positions follow from Bragg's law for the DFT cell and can differ from measured ones.

Cell lengths 8.900, 8.900, 4.408 Å; angles 90.00, 90.00, 90.00 degrees
Element x y z (fractional)
Hf  0.000  0.000  0.000
Mg  0.000  0.258  0.500
Mg  0.000  0.500  0.000
Mg  0.000  0.742  0.500
Mg  0.240  0.500  0.500
Mg  0.254  0.254  0.000
Mg  0.254  0.746  0.000
Mg  0.258  0.000  0.500
Mg  0.500  0.000  0.000
Mg  0.500  0.240  0.500
Mg  0.500  0.760  0.500
Mg  0.742  0.000  0.500
Mg  0.746  0.254  0.000
Mg  0.746  0.746  0.000
Mg  0.760  0.500  0.500
Bi  0.500  0.500  0.000
O  0.000  0.000  0.500
O  0.000  0.242  0.000
O  0.000  0.500  0.500
O  0.000  0.758  0.000
O  0.216  0.500  0.000
O  0.242  0.000  0.000
O  0.247  0.247  0.500
O  0.247  0.753  0.500
O  0.500  0.000  0.500
O  0.500  0.216  0.000
O  0.500  0.500  0.500
O  0.500  0.784  0.000
O  0.753  0.247  0.500
O  0.753  0.753  0.500
O  0.758  0.000  0.000
O  0.784  0.500  0.000

Top 12 peaks for 2θ = 10–90°, low angle first:
| 2θ (°) | intensity |
| --- | --- |
| 14.07 | 100 |
| 19.95 | 56 |
| 20.14 | 27 |
| 24.66 | 66 |
| 28.50 | 47 |
| 31.80 | 40 |
| 35.04 | 58 |
| 37.93 | 44 |
| 40.54 | 81 |
| 40.95 | 40 |
| 45.63 | 25 |
| 58.99 | 49 |


(9)
BaCaSmBiO6: theoretical powder diffractogram (Cu Kα), based on a DFT-relaxed cell (GGA-PBE, the Materials Project).
Peak positions follow from Bragg's law for the DFT cell and can differ from measured ones.

Cell lengths 6.175, 6.175, 6.175 Å; angles 60.00, 60.00, 60.00 degrees
Element x y z (fractional)
Ba  0.000  0.000  0.000
Ca  0.500  0.500  0.500
Sm  0.250  0.250  0.250
Bi  0.750  0.750  0.750
O  0.508  0.508  0.992
O  0.508  0.992  0.508
O  0.508  0.992  0.992
O  0.992  0.508  0.508
O  0.992  0.508  0.992
O  0.992  0.992  0.508

Top 12 peaks for 2θ = 10–90°, low angle first:
| 2θ (°) | intensity |
| --- | --- |
| 17.59 | 10 |
| 20.34 | 22 |
| 28.92 | 100 |
| 34.05 | 6 |
| 41.36 | 30 |
| 46.51 | 10 |
| 51.25 | 42 |
| 59.92 | 19 |
| 63.97 | 5 |
| 67.88 | 19 |
| 75.41 | 6 |
| 82.69 | 22 |


(10)
CaFe4Sb12: theoretical powder diffractogram (Cu Kα), based on a DFT-relaxed cell (GGA-PBE, the Materials Project).
Peak positions follow from Bragg's law for the DFT cell and can differ from measured ones.

Cell lengths 7.948, 7.948, 7.948 Å; angles 109.47, 109.47, 109.47 degrees
Element x y z (fractional)
Ca  0.000  0.000  0.000
Fe  0.000  0.000  0.500
Fe  0.000  0.500  0.000
Fe  0.500  0.000  0.000
Fe  0.500  0.500  0.500
Sb  0.161  0.335  0.497
Sb  0.161  0.665  0.826
Sb  0.174  0.839  0.335
Sb  0.335  0.174  0.839
Sb  0.335  0.497  0.161
Sb  0.497  0.161  0.335
Sb  0.503  0.839  0.665
Sb  0.665  0.503  0.839
Sb  0.665  0.826  0.161
Sb  0.826  0.161  0.665
Sb  0.839  0.335  0.174
Sb  0.839  0.665  0.503

Top 12 peaks for 2θ = 10–90°, low angle first:
| 2θ (°) | intensity |
| --- | --- |
| 30.81 | 100 |
| 36.64 | 41 |
| 41.75 | 7 |
| 44.13 | 19 |
| 46.40 | 9 |
| 48.60 | 18 |
| 50.72 | 21 |
| 58.65 | 19 |
| 60.53 | 10 |
| 69.46 | 18 |
| 79.54 | 7 |
| 89.30 | 8 |


Q: Which formula does entry 1 have?
A: LaNi5H7


Q: What is the formula in the seventh record?
A: ThCd5